# Th3Ni7P4
Computed PXRD pattern, Cu Kα X-rays. Input: a GGA-PBE-relaxed structure.
Peak positions follow from Bragg's law for the DFT cell and can differ from measured ones.

Cell lengths 7.7408, 7.7408, 8.9999 Å; angles 125.15, 125.15, 29.76 degrees
Atoms (fractional coordinates):
Th1 0.0000 0.0000 0.0000
Th2 0.3174 0.3174 0.3125
Th3 0.6826 0.6826 0.6875
Ni1 0.0000 0.0000 0.5000
Ni2 0.1552 0.1552 0.8949
Ni3 0.3161 0.3161 0.6611
Ni4 0.4966 0.4966 0.2760
Ni5 0.5034 0.5034 0.7240
Ni6 0.6839 0.6839 0.3389
Ni7 0.8448 0.8448 0.1051
P1 0.1155 0.1155 0.3968
P2 0.3396 0.3396 0.9653
P3 0.6604 0.6604 0.0347
P4 0.8845 0.8845 0.6032

Largest 12 diffraction maxima, by angle, 2θ = 10–80°:
d [Å]	Rel. int.
4.500	191
3.670	203
3.640	576
2.822	336
2.410	181
2.395	1000
2.385	560
2.250	174
2.003	188
1.988	261
1.533	143
1.490	149